For LaOF, a DFT-relaxed cell (GGA-PBE, the Materials Project) gives the theoretical X-ray diffraction stick pattern in this record (a wavelength of 1.5418 Å).
Intensities are scaled so that the largest is 1000.

Structural model:
```
LaOF
1.0
5.7673 0.0000 0.0000
0.0000 5.7673 0.0000
0.0000 0.0000 5.7673
La O F
4 4 4
Direct
0.0000 0.0000 0.0000
0.0000 0.5000 0.5000
0.5000 0.0000 0.5000
0.5000 0.5000 0.0000
0.2500 0.2500 0.7500
0.2500 0.7500 0.2500
0.7500 0.2500 0.2500
0.7500 0.7500 0.7500
0.2500 0.2500 0.2500
0.2500 0.7500 0.7500
0.7500 0.2500 0.7500
0.7500 0.7500 0.2500
```

Top 10 peaks for 15 to 90 degrees two-theta, low angle first:
| two_theta | I (rel.) |
| --- | --- |
| 26.77 | 1000 |
| 31.01 | 269 |
| 44.43 | 593 |
| 52.63 | 462 |
| 55.17 | 80 |
| 64.64 | 90 |
| 71.28 | 185 |
| 73.42 | 110 |
| 81.82 | 179 |
| 87.99 | 146 |


For La2PdO2F2, a DFT-relaxed cell (GGA-PBE, the Materials Project) gives the theoretical X-ray diffraction stick pattern in this record (a wavelength of 1.5418 Å).
Intensities are scaled so that the largest is 1000.

Structural model:
```
La2PdO2F2
1.0
4.2131 0.0000 0.0000
0.0000 4.2131 0.0000
0.0000 0.0000 12.6005
La Pd O F
4 2 4 4
Direct
0.0000 0.0000 0.1264
0.0000 0.0000 0.8736
0.5000 0.5000 0.3736
0.5000 0.5000 0.6264
0.0000 0.0000 0.5000
0.5000 0.5000 0.0000
0.0000 0.5000 0.0000
0.0000 0.5000 0.5000
0.5000 0.0000 0.0000
0.5000 0.0000 0.5000
0.0000 0.5000 0.2500
0.0000 0.5000 0.7500
0.5000 0.0000 0.2500
0.5000 0.0000 0.7500
```

Top 12 peaks for 15 to 90 degrees two-theta, low angle first:
| two_theta | I (rel.) |
| --- | --- |
| 22.25 | 102 |
| 30.03 | 1000 |
| 41.75 | 405 |
| 42.93 | 270 |
| 53.29 | 287 |
| 61.44 | 155 |
| 62.34 | 84 |
| 67.24 | 73 |
| 70.72 | 119 |
| 75.34 | 94 |
| 77.85 | 83 |
| 86.45 | 78 |


For La6S3O2F8, a DFT-relaxed cell (GGA-PBE, the Materials Project) gives the theoretical X-ray diffraction stick pattern in this record (a wavelength of 1.5418 Å).
Intensities are scaled so that the largest is 1000.

Structural model:
```
La6S3O2F8
1.0
13.8020 0.0000 0.0000
0.0000 3.9711 0.0000
-6.8977 0.0000 12.0694
La S O F
12 6 4 16
Direct
0.0000 0.0000 0.0000
0.0419 0.5000 0.2793
0.1533 0.5000 0.6249
0.2252 0.5000 0.9334
0.3294 0.0000 0.5138
0.4098 0.0000 0.8297
0.5053 0.0000 0.1717
0.5689 0.5000 0.4646
0.6660 0.0000 0.7503
0.7533 0.0000 0.0882
0.8173 0.5000 0.3653
0.8844 0.5000 0.6897
0.0830 0.0000 0.7564
0.4719 0.5000 0.6951
0.5625 0.5000 0.0438
0.7535 0.0000 0.5050
0.8136 0.5000 0.9461
0.9970 0.0000 0.4153
0.2593 0.0000 0.6395
0.3003 0.5000 0.8147
0.6977 0.5000 0.6617
0.8429 0.5000 0.2059
0.0268 0.5000 0.9047
0.0804 0.5000 0.1217
0.1707 0.0000 0.3215
0.1844 0.0000 0.0257
0.2057 0.5000 0.4723
0.3502 0.0000 0.9797
0.3766 0.5000 0.4292
0.3833 0.5000 0.1309
0.4830 0.0000 0.3333
0.5279 0.0000 0.5453
0.6025 0.5000 0.2980
0.6133 0.0000 0.8932
0.7141 0.0000 0.2507
0.8683 0.0000 0.7923
0.9492 0.5000 0.5596
0.9612 0.0000 0.1540
```

Top 12 peaks for 15 to 90 degrees two-theta, low angle first:
| two_theta | I (rel.) |
| --- | --- |
| 23.60 | 760 |
| 25.85 | 294 |
| 26.64 | 825 |
| 26.77 | 819 |
| 26.88 | 834 |
| 29.86 | 1000 |
| 29.95 | 493 |
| 31.66 | 331 |
| 31.78 | 682 |
| 34.28 | 433 |
| 45.69 | 538 |
| 53.71 | 515 |


For LaTh4OF19, a DFT-relaxed cell (GGA-PBE, the Materials Project) gives the theoretical X-ray diffraction stick pattern in this record (a wavelength of 1.5418 Å).
Intensities are scaled so that the largest is 1000.

Structural model:
```
LaTh4OF19
1.0
7.3559 0.0000 0.0000
0.0000 8.2652 0.0000
-3.6505 0.0000 11.6811
La Th O F
2 8 2 38
Direct
0.2044 0.2500 0.3841
0.7956 0.7500 0.6159
0.1527 0.2500 0.0012
0.1808 0.7500 0.3851
0.3631 0.9997 0.7266
0.3631 0.5003 0.7266
0.6369 0.0003 0.2734
0.6369 0.4997 0.2734
0.8192 0.2500 0.6149
0.8473 0.7500 0.9988
0.2209 0.7500 0.0000
0.7791 0.2500 0.0000
0.0000 0.0000 0.0000
0.0000 0.5000 0.0000
0.0133 0.5047 0.6724
0.0133 0.9953 0.6724
0.0648 0.7500 0.5401
0.0691 0.7500 0.1903
0.1177 0.2500 0.1823
0.1848 0.2500 0.6593
0.2567 0.7500 0.7817
0.2636 0.5038 0.5231
0.2636 0.9962 0.5231
0.2749 0.0834 0.8829
0.2749 0.4166 0.8829
0.3386 0.5161 0.3257
0.3386 0.9839 0.3257
0.3934 0.0827 0.1171
0.3934 0.4173 0.1171
0.4730 0.7500 0.6604
0.4783 0.7500 0.2183
0.4932 0.2500 0.5454
0.5068 0.7500 0.4546
0.5217 0.2500 0.7817
0.5270 0.2500 0.3396
0.6066 0.5827 0.8829
0.6066 0.9173 0.8829
0.6614 0.0161 0.6743
0.6614 0.4839 0.6743
0.7251 0.5834 0.1171
0.7251 0.9166 0.1171
0.7364 0.0038 0.4769
0.7364 0.4962 0.4769
0.7433 0.2500 0.2183
0.8152 0.7500 0.3407
0.8823 0.7500 0.8177
0.9309 0.2500 0.8097
0.9352 0.2500 0.4599
0.9867 0.0047 0.3276
0.9867 0.4953 0.3276
```

Top 12 peaks for 15 to 90 degrees two-theta, low angle first:
| two_theta | I (rel.) |
| --- | --- |
| 16.58 | 454 |
| 22.54 | 748 |
| 22.84 | 302 |
| 24.20 | 325 |
| 25.01 | 861 |
| 26.42 | 484 |
| 27.27 | 565 |
| 43.82 | 283 |
| 44.40 | 304 |
| 44.52 | 1000 |
| 45.28 | 231 |
| 45.36 | 224 |


For La2PbF8, a DFT-relaxed cell (GGA-PBE, the Materials Project) gives the theoretical X-ray diffraction stick pattern in this record (a wavelength of 1.5418 Å).
Intensities are scaled so that the largest is 1000.

Structural model:
```
La2PbF8
1.0
4.1218 0.0000 0.0000
0.0418 5.9807 0.0000
2.0604 2.9322 6.6550
La Pb F
2 1 8
Direct
0.0000 0.0000 0.0000
0.3116 0.3352 0.3314
0.6183 0.6613 0.6858
0.0461 0.6006 0.0106
0.1470 0.3675 0.6924
0.1933 0.9333 0.5920
0.3927 0.7759 0.2114
0.5018 0.2717 0.0220
0.5918 0.9849 0.8199
0.7730 0.4780 0.4141
0.8417 0.0875 0.3045
```

Top 12 peaks for 15 to 90 degrees two-theta, low angle first:
| two_theta | I (rel.) |
| --- | --- |
| 24.88 | 899 |
| 25.10 | 854 |
| 26.17 | 728 |
| 26.35 | 686 |
| 29.58 | 1000 |
| 29.88 | 440 |
| 40.67 | 331 |
| 42.58 | 660 |
| 42.76 | 329 |
| 43.93 | 360 |
| 49.18 | 347 |
| 51.02 | 408 |


For La2S2F, a DFT-relaxed cell (GGA-PBE, the Materials Project) gives the theoretical X-ray diffraction stick pattern in this record (a wavelength of 1.5418 Å).
Intensities are scaled so that the largest is 1000.

Structural model:
```
La2S2F
1.0
6.0795 0.0000 0.0000
0.0000 6.0795 0.0000
0.0000 0.0000 13.4444
La S F
2 2 1
Direct
0.0000 0.0000 0.1806
0.0000 0.0000 0.8194
0.0000 0.0000 0.3564
0.0000 0.0000 0.6436
0.0000 0.0000 0.0000
```

Top 12 peaks for 15 to 90 degrees two-theta, low angle first:
| two_theta | I (rel.) |
| --- | --- |
| 16.00 | 224 |
| 19.69 | 491 |
| 20.66 | 1000 |
| 24.63 | 599 |
| 28.78 | 216 |
| 29.38 | 407 |
| 32.94 | 596 |
| 35.65 | 345 |
| 36.54 | 229 |
| 47.28 | 211 |
| 47.56 | 213 |
| 52.95 | 205 |